[1]
# W2N3
Theoretical powder XRD pattern, Cu Kα. Input: a PBE-relaxed structure.
Intensities are scaled so that the largest is 100.

Crystal structure
```
data_W2N3
_symmetry_space_group_name_H-M 'P 1'
_symmetry_Int_Tables_number 1
_cell_length_a 4.9885
_cell_length_b 4.9885
_cell_length_c 5.3501
_cell_angle_alpha 99.12
_cell_angle_beta 99.12
_cell_angle_gamma 119.68
loop_
_symmetry_equiv_pos_as_xyz
'x,y,z'
loop_
_atom_site_label
_atom_site_type_symbol
_atom_site_fract_x
_atom_site_fract_y
_atom_site_fract_z
W1 W 0.0000 0.0000 0.0000
W2 W 0.1857 0.1857 0.5393
W3 W 0.5021 0.8390 0.5141
W4 W 0.8390 0.5021 0.5141
N1 N 0.0884 0.7714 0.2714
N2 N 0.2564 0.9203 0.7768
N3 N 0.4125 0.4125 0.2689
N4 N 0.6000 0.6000 0.7742
N5 N 0.7714 0.0884 0.2714
N6 N 0.9203 0.2564 0.7768
```

Principal peaks in the range 2θ from 5° to 70°, by angle:
2theta  d_spacing  I (rel.)
17.47  5.077  100
21.33  4.166  28
35.36  2.539  54
36.31  2.474  46
36.51  2.461  89
37.94  2.371  47
43.40  2.085  45
47.04  1.932  95
56.13  1.639  32
64.50  1.445  29


[2]
# Sr2NbIrO6
Theoretical powder XRD pattern, Cu Kα. Input: a PBE-relaxed structure.
Intensities are scaled so that the largest is 100.

Crystal structure
```
data_Sr2NbIrO6
_symmetry_space_group_name_H-M 'P 1'
_symmetry_Int_Tables_number 1
_cell_length_a 5.6323
_cell_length_b 8.0241
_cell_length_c 5.6340
_cell_angle_alpha 90.00
_cell_angle_beta 90.02
_cell_angle_gamma 90.00
loop_
_symmetry_equiv_pos_as_xyz
'x,y,z'
loop_
_atom_site_label
_atom_site_type_symbol
_atom_site_fract_x
_atom_site_fract_y
_atom_site_fract_z
Sr1 Sr 0.0148 0.2500 0.0141
Sr2 Sr 0.4748 0.7500 0.4981
Sr3 Sr 0.5252 0.2500 0.5019
Sr4 Sr 0.9852 0.7500 0.9859
Nb1 Nb 0.5000 0.0000 0.0000
Nb2 Nb 0.5000 0.5000 0.0000
Ir1 Ir 0.0000 0.0000 0.5000
Ir2 Ir 0.0000 0.5000 0.5000
O1 O 0.0369 0.7500 0.4078
O2 O 0.2304 0.5230 0.7763
O3 O 0.2304 0.9770 0.7763
O4 O 0.2768 0.0341 0.2705
O5 O 0.2768 0.4659 0.2705
O6 O 0.4980 0.7500 0.0532
O7 O 0.5020 0.2500 0.9468
O8 O 0.7232 0.5341 0.7295
O9 O 0.7232 0.9659 0.7295
O10 O 0.7696 0.0230 0.2237
O11 O 0.7696 0.4770 0.2237
O12 O 0.9631 0.2500 0.5922
```

Principal peaks in the range 2θ from 5° to 70°, by angle:
2theta  d_spacing  I (rel.)
15.73  5.633  11
22.32  3.983  13
31.65  2.827  100
31.77  2.817  47
45.20  2.006  15
45.55  1.992  28
56.30  1.634  20
56.52  1.628  41
66.11  1.413  16
66.38  1.408  8


[3]
# Zr3NiAs4Pd3
Theoretical powder XRD pattern, Cu Kα. Input: a PBE-relaxed structure.
Intensities are scaled so that the largest is 100.

Crystal structure
```
data_Zr3NiAs4Pd3
_symmetry_space_group_name_H-M 'P 1'
_symmetry_Int_Tables_number 1
_cell_length_a 6.6050
_cell_length_b 3.9111
_cell_length_c 7.7113
_cell_angle_alpha 90.00
_cell_angle_beta 91.16
_cell_angle_gamma 90.00
loop_
_symmetry_equiv_pos_as_xyz
'x,y,z'
loop_
_atom_site_label
_atom_site_type_symbol
_atom_site_fract_x
_atom_site_fract_y
_atom_site_fract_z
Zr1 Zr 0.0000 0.0000 0.0000
Zr2 Zr 0.0681 0.5000 0.3716
Zr3 Zr 0.5052 0.0000 0.8712
Ni1 Ni 0.6892 0.5000 0.1284
As1 As 0.2983 0.5000 0.0616
As2 As 0.3127 0.0000 0.5638
As3 As 0.7790 0.0000 0.2992
As4 As 0.7797 0.5000 0.8168
Pd1 Pd 0.1774 0.5000 0.7434
Pd2 Pd 0.3950 0.0000 0.2517
Pd3 Pd 0.8973 0.0000 0.6180
```

Principal peaks in the range 2θ from 5° to 70°, by angle:
2theta  d_spacing  I (rel.)
35.22  2.548  31
35.59  2.523  100
37.32  2.409  80
37.69  2.387  36
42.07  2.148  73
42.49  2.128  19
44.58  2.032  24
46.44  1.956  54
48.01  1.895  19
68.35  1.372  23


[4]
# LuMgNiPb
Theoretical powder XRD pattern, Cu Kα. Input: a PBE-relaxed structure.
Intensities are scaled so that the largest is 100.

Crystal structure
```
data_LuMgNiPb
_symmetry_space_group_name_H-M 'P 1'
_symmetry_Int_Tables_number 1
_cell_length_a 4.8517
_cell_length_b 4.8517
_cell_length_c 4.8517
_cell_angle_alpha 60.00
_cell_angle_beta 60.00
_cell_angle_gamma 60.00
loop_
_symmetry_equiv_pos_as_xyz
'x,y,z'
loop_
_atom_site_label
_atom_site_type_symbol
_atom_site_fract_x
_atom_site_fract_y
_atom_site_fract_z
Lu1 Lu 0.0000 0.0000 0.0000
Mg1 Mg 0.2500 0.2500 0.2500
Ni1 Ni 0.7500 0.7500 0.7500
Pb1 Pb 0.5000 0.5000 0.5000
```

Principal peaks in the range 2θ from 5° to 70°, by angle:
2theta  d_spacing  I (rel.)
22.44  3.961  3
25.97  3.431  46
37.06  2.426  100
43.76  2.069  1
45.81  1.981  14
53.41  1.715  18
58.65  1.574  1
60.33  1.534  19
66.79  1.401  36


[5]
# Dy2Y2CBrCl4
Theoretical powder XRD pattern, Cu Kα. Input: a PBE-relaxed structure.
Intensities are scaled so that the largest is 100.

Crystal structure
```
data_Dy2Y2CBrCl4
_symmetry_space_group_name_H-M 'P 1'
_symmetry_Int_Tables_number 1
_cell_length_a 8.7134
_cell_length_b 8.7134
_cell_length_c 8.0471
_cell_angle_alpha 103.80
_cell_angle_beta 103.80
_cell_angle_gamma 24.91
loop_
_symmetry_equiv_pos_as_xyz
'x,y,z'
loop_
_atom_site_label
_atom_site_type_symbol
_atom_site_fract_x
_atom_site_fract_y
_atom_site_fract_z
Dy1 Dy 0.0009 0.0009 0.2975
Dy2 Dy 0.9991 0.9991 0.7025
Y1 Y 0.3548 0.3548 0.4191
Y2 Y 0.6452 0.6452 0.5809
C1 C 0.5000 0.5000 0.5000
Br1 Br 0.5000 0.5000 0.0000
Cl1 Cl 0.1648 0.1648 0.8313
Cl2 Cl 0.1710 0.1710 0.3464
Cl3 Cl 0.8290 0.8290 0.6536
Cl4 Cl 0.8352 0.8352 0.1687
```

Principal peaks in the range 2θ from 5° to 70°, by angle:
2theta  d_spacing  I (rel.)
10.72  8.251  100
11.34  7.803  40
28.77  3.103  15
29.48  3.030  17
32.53  2.752  63
32.60  2.746  84
41.51  2.176  20
46.61  1.949  24
46.88  1.938  25
48.44  1.879  15


[6]
# Tm4Cu2SnGe4
Theoretical powder XRD pattern, Cu Kα. Input: a PBE-relaxed structure.
Intensities are scaled so that the largest is 100.

Crystal structure
```
data_Tm4Cu2SnGe4
_symmetry_space_group_name_H-M 'P 1'
_symmetry_Int_Tables_number 1
_cell_length_a 8.0243
_cell_length_b 8.0243
_cell_length_c 7.0979
_cell_angle_alpha 107.63
_cell_angle_beta 107.63
_cell_angle_gamma 30.39
loop_
_symmetry_equiv_pos_as_xyz
'x,y,z'
loop_
_atom_site_label
_atom_site_type_symbol
_atom_site_fract_x
_atom_site_fract_y
_atom_site_fract_z
Tm1 Tm 0.0875 0.0875 0.3791
Tm2 Tm 0.1510 0.1510 0.9302
Tm3 Tm 0.8490 0.8490 0.0698
Tm4 Tm 0.9125 0.9125 0.6209
Cu1 Cu 0.2816 0.2816 0.3791
Cu2 Cu 0.7184 0.7184 0.6209
Sn1 Sn 0.5000 0.5000 0.0000
Ge1 Ge 0.3006 0.3006 0.7553
Ge2 Ge 0.4349 0.4349 0.3426
Ge3 Ge 0.5651 0.5651 0.6574
Ge4 Ge 0.6994 0.6994 0.2447
```

Principal peaks in the range 2θ from 5° to 70°, by angle:
2theta  d_spacing  I (rel.)
27.95  3.192  24
32.52  2.753  22
33.10  2.706  34
33.43  2.681  82
34.53  2.598  100
34.80  2.578  37
36.17  2.484  99
37.31  2.410  44
38.02  2.367  26
43.01  2.103  81